The following is a simulated XRD peak list of BaLaNbCrO6. It was derived from a structure optimized by DFT (PBE+U), using Cu Ka.

abc: 8.424 8.424 8.424
angles: 90.00 90.00 90.00
Space group F-43m (No. 216)
Symmetry-distinct sites (fractional):
Ba1 0.000 0.000 0.000 [4 per cell]
La1 0.250 0.250 0.750 [4 per cell]
Nb1 0.000 0.000 0.500 [4 per cell]
Cr1 0.250 0.250 0.250 [4 per cell]
O1 0.022 0.250 0.250 [24 per cell]

Largest 10 diffraction maxima, by angle, 2θ from 10° to 80°:
(1 1 1), 18.24 deg, d = 4.864 Å, I = 8; (2 2 0), 30.00 deg, d = 2.978 Å, I = 100; (3 1 1), 35.34 deg, d = 2.540 Å, I = 8; (2 2 2), 36.97 deg, d = 2.432 Å, I = 4; (4 0 0), 42.95 deg, d = 2.106 Å, I = 32; (3 3 1), 47.02 deg, d = 1.933 Å, I = 5; (4 2 2), 53.27 deg, d = 1.720 Å, I = 39; (4 4 0), 62.36 deg, d = 1.489 Å, I = 19; (6 2 0), 70.73 deg, d = 1.332 Å, I = 18; (4 4 4), 78.70 deg, d = 1.216 Å, I = 6

=====

The following is a simulated XRD peak list of BaLaNbCrO6. It was derived from a structure optimized by DFT (PBE+U), using Cu Ka.

abc: 8.100 8.100 8.100
angles: 90.00 90.00 90.00
Space group F-43m (No. 216)
Symmetry-distinct sites (fractional):
Ba1 0.000 0.000 0.000 [4 per cell]
La1 0.000 0.000 0.500 [4 per cell]
Nb1 0.250 0.250 0.250 [4 per cell]
Cr1 0.250 0.250 0.750 [4 per cell]
O1 0.002 0.250 0.750 [24 per cell]

Largest 10 diffraction maxima, by angle, 2θ from 10° to 80°:
(1 1 1), 18.98 deg, d = 4.676 Å, I = 3; (2 0 0), 21.95 deg, d = 4.050 Å, I = 5; (2 2 0), 31.23 deg, d = 2.864 Å, I = 100; (2 2 2), 38.50 deg, d = 2.338 Å, I = 12; (4 0 0), 44.76 deg, d = 2.025 Å, I = 32; (4 2 0), 50.38 deg, d = 1.811 Å, I = 3; (4 2 2), 55.59 deg, d = 1.653 Å, I = 39; (4 4 0), 65.15 deg, d = 1.432 Å, I = 19; (6 2 0), 74.02 deg, d = 1.281 Å, I = 17; (6 2 2), 78.30 deg, d = 1.221 Å, I = 4

=====

Please write out number 2 again, unchanged.
The following is a simulated XRD peak list of BaLaNbCrO6. It was derived from a structure optimized by DFT (PBE+U), using Cu Ka.

abc: 8.100 8.100 8.100
angles: 90.00 90.00 90.00
Space group F-43m (No. 216)
Symmetry-distinct sites (fractional):
Ba1 0.000 0.000 0.000 [4 per cell]
La1 0.000 0.000 0.500 [4 per cell]
Nb1 0.250 0.250 0.250 [4 per cell]
Cr1 0.250 0.250 0.750 [4 per cell]
O1 0.002 0.250 0.750 [24 per cell]

Largest 10 diffraction maxima, by angle, 2θ from 10° to 80°:
(1 1 1), 18.98 deg, d = 4.676 Å, I = 3; (2 0 0), 21.95 deg, d = 4.050 Å, I = 5; (2 2 0), 31.23 deg, d = 2.864 Å, I = 100; (2 2 2), 38.50 deg, d = 2.338 Å, I = 12; (4 0 0), 44.76 deg, d = 2.025 Å, I = 32; (4 2 0), 50.38 deg, d = 1.811 Å, I = 3; (4 2 2), 55.59 deg, d = 1.653 Å, I = 39; (4 4 0), 65.15 deg, d = 1.432 Å, I = 19; (6 2 0), 74.02 deg, d = 1.281 Å, I = 17; (6 2 2), 78.30 deg, d = 1.221 Å, I = 4